# 1
Computed XRD peak list
Compound: Zr3Rh
Radiation: Cu Kα
Structure: a crystal structure in Alexandria, relaxed with GGA-PBE

The 10 most intense peaks (2θ from 10° to 90°), sorted by position:
hkl 1 1 -1, 2θ 35.2, I 100
hkl 1 0 1, 2θ 37.0, I 45
hkl 0 1 2, 2θ 38.1, I 84
hkl 0 2 0, 2θ 39.0, I 40
hkl 1 0 -3, 2θ 50.6, I 16
hkl 1 2 1, 2θ 54.9, I 28
hkl 2 1 0, 2θ 63.6, I 16
hkl 1 2 -3, 2θ 65.7, I 14
hkl 1 1 3, 2θ 69.3, I 14
hkl 0 3 2, 2θ 70.1, I 14

Crystal structure
Cell: 3.2014 4.6161 5.7102 Å, 90.00 105.55 90.00°
Space group P2/m (No. 10)
Unique sites:
Zr 0.0000 0.0000 0.0000 x1
Zr 0.2939 0.5000 0.7357 x2
Rh 0.5000 0.0000 0.5000 x1

# 2
Computed XRD peak list
Compound: Ca2HoGa4
Radiation: Cu Kα
Structure: a crystal structure in Alexandria, relaxed with GGA-PBE

The 10 most intense peaks (2θ from 10° to 90°), sorted by position:
hkl 1 0 3, 2θ 26.4, I 17
hkl 1 1 2, 2θ 32.0, I 100
hkl 1 0 5, 2θ 32.4, I 52
hkl 1 1 4, 2θ 36.0, I 52
hkl 0 1 7, 2θ 39.0, I 55
hkl 0 2 0, 2θ 41.9, I 31
hkl 2 0 0, 2θ 45.5, I 22
hkl 1 2 5, 2θ 53.9, I 24
hkl 2 1 7, 2θ 61.5, I 28
hkl 2 2 0, 2θ 63.5, I 16

Crystal structure
Cell: 3.9865 4.3154 19.1197 Å, 90.00 90.00 90.00°
Space group Immm (No. 71)
Unique sites:
Ca 0.0000 0.0000 0.1878 x4
Ho 0.0000 0.5000 0.0000 x2
Ga 0.0000 0.0000 0.3623 x4
Ga 0.0000 0.5000 0.4354 x4

# 3
Computed XRD peak list
Compound: PaAl8Ni4
Radiation: Cu Kα
Structure: a crystal structure in Alexandria, relaxed with GGA-PBE

The 10 most intense peaks (2θ from 10° to 90°), sorted by position:
hkl 1 1 0, 2θ 14.5, I 75
hkl 1 0 1, 2θ 20.3, I 74
hkl 2 1 1, 2θ 29.0, I 86
hkl 2 2 0, 2θ 29.3, I 54
hkl 3 1 0, 2θ 32.8, I 36
hkl 3 0 1, 2θ 35.9, I 50
hkl 2 0 2, 2θ 41.2, I 100
hkl 3 2 1, 2θ 41.7, I 80
hkl 4 0 0, 2θ 41.9, I 62
hkl 4 2 2, 2θ 60.2, I 41

Crystal structure
Cell: 8.6328 8.6328 5.0819 Å, 90.00 90.00 90.00°
Space group I4/mmm (No. 139)
Unique sites:
Pa 0.0000 0.0000 0.0000 x2
Al 0.0000 0.2215 0.5000 x8
Al 0.0000 0.3446 0.0000 x8
Ni 0.2500 0.2500 0.2500 x8

# 4
Computed XRD peak list
Compound: ReSb7
Radiation: Cu Kα
Structure: a crystal structure in Alexandria, relaxed with GGA-PBE

The 10 most intense peaks (2θ from 10° to 90°), sorted by position:
hkl 1 1 1, 2θ 16.6, I 2
hkl 2 0 0, 2θ 19.2, I 1
hkl 2 2 0, 2θ 27.2, I 1
hkl 3 1 1, 2θ 32.0, I 1
hkl 2 2 2, 2θ 33.5, I 100
hkl 4 0 0, 2θ 38.9, I 50
hkl 4 4 0, 2θ 56.2, I 34
hkl 6 2 2, 2θ 67.0, I 39
hkl 4 4 4, 2θ 70.4, I 11
hkl 8 0 0, 2θ 83.5, I 5

Crystal structure
Cell: 9.2624 9.2624 9.2624 Å, 90.00 90.00 90.00°
Space group Fm-3m (No. 225)
Unique sites:
Re 0.0000 0.0000 0.0000 x4
Sb 0.0000 0.0000 0.5000 x4
Sb 0.0000 0.2500 0.2500 x24